# KMnCd2O4
Simulated XRD peak list, Cu Kα (λ = 1.5418 Å). Input: a crystal structure in Alexandria, relaxed with GGA+U.

Atomic structure:
```
data_KMnCd2O4
_cell_length_a 5.8136
_cell_length_b 5.8136
_cell_length_c 7.2988
_cell_angle_alpha 90.00
_cell_angle_beta 90.00
_cell_angle_gamma 90.00
_symmetry_space_group_name_H-M 'I -4 2 m'
_symmetry_Int_Tables_number 121
_symmetry_space_group_name_Hall 'I -4 2'
loop_
_atom_site_label
_atom_site_fract_x
_atom_site_fract_y
_atom_site_fract_z
K1 0.0000 0.0000 0.0000
Mn1 0.0000 0.0000 0.5000
Cd1 0.0000 0.5000 0.2500
O1 0.2060 0.2060 0.6242
```

Top 10 peaks for 2θ = 10–80°, in order of falling intensity:
hkl 1 1 2, 2θ 32.82, intensity 100.0
hkl 3 1 2, 2θ 56.01, intensity 39.0
hkl 2 0 0, 2θ 30.76, intensity 38.7
hkl 2 2 0, 2θ 44.06, intensity 26.6
hkl 2 0 4, 2θ 59.85, intensity 20.4
hkl 1 1 0, 2θ 21.62, intensity 20.1
hkl 2 0 2, 2θ 39.64, intensity 9.7
hkl 0 0 2, 2θ 24.39, intensity 8.1
hkl 3 3 2, 2θ 73.88, intensity 8.1
hkl 2 2 4, 2θ 68.80, intensity 7.8